This entry pairs a crystal structure of CeScNi2Ge2 with its computed X-ray powder pattern. Radiation: Cu Kα (λ = 1.5418 Å). Structure: DFT lattice parameters and positions (PBE).

Most intense lines, 15 to 90 degrees two-theta, in order of rising 2θ:
Position (°2θ)  intensity
27.8  37
35.9  100
39.1  12
43.2  69
57.3  25
59.6  20
70.7  13
73.3  8
74.4  22
79.2  11

Cell and atoms:
```
CeScNi2Ge2
1.0
4.1910 0.0000 0.0000
-2.0955 3.6295 0.0000
0.0000 0.0000 6.9118
Ce Sc Ni Ge
1 1 2 2
Direct
0.0000 0.0000 0.0000
0.0000 0.0000 0.5000
0.3333 0.6667 0.6890
0.6667 0.3333 0.3110
0.3333 0.6667 0.2765
0.6667 0.3333 0.7235
```